Theoretical X-ray powder pattern of Li4HoCd8 for Cu Kα X-rays, from a cell relaxed with PBE.
Peak positions follow from Bragg's law for the DFT cell and can differ from measured ones.

Structural model:
```
data_Li4HoCd8
_chemical_formula_sum 'Li4 Ho1 Cd8'
_symmetry_space_group_name_H-M 'P 1'
_symmetry_Int_Tables_number 1
_symmetry_space_group_name_Hall 'P 1'
_cell_length_a 7.513
_cell_length_b 7.513
_cell_length_c 7.513
_cell_angle_alpha 97.06
_cell_angle_beta 97.06
_cell_angle_gamma 138.95
loop_
_atom_site_label
_atom_site_type_symbol
_atom_site_fract_x
_atom_site_fract_y
_atom_site_fract_z
Li1 Li 0.000 0.000 0.500
Li2 Li 0.000 0.500 0.000
Li3 Li 0.500 0.000 0.000
Li4 Li 0.500 0.500 0.500
Ho1 Ho 0.000 0.000 0.000
Cd1 Cd 0.000 0.348 0.348
Cd2 Cd 0.000 0.652 0.652
Cd3 Cd 0.289 0.500 0.789
Cd4 Cd 0.348 0.000 0.348
Cd5 Cd 0.500 0.289 0.789
Cd6 Cd 0.500 0.711 0.211
Cd7 Cd 0.652 0.000 0.652
Cd8 Cd 0.711 0.500 0.211
```

Largest 6 diffraction maxima, in order of rising 2θ, 2θ from 10° to 90°:
two_theta  I (rel.)
17.83  35.6
25.32  21.5
31.88  48.2
34.04  39.5
36.77  100.0
65.36  22.9